Record 1
Starting from a PBE-relaxed structure, the powder X-ray diffraction pattern of PmSbPd2 was calculated for Cu Kα (weighted mean of Kα1 and Kα2).

Atomic structure:
```
PmSbPd2
1.0
6.921 0.000 0.000
0.000 6.921 0.000
0.000 0.000 6.921
Pm Sb Pd
4 4 8
Direct
0.000 0.000 0.000 Pm
0.000 0.500 0.500 Pm
0.500 0.000 0.500 Pm
0.500 0.500 0.000 Pm
0.000 0.000 0.500 Sb
0.000 0.500 0.000 Sb
0.500 0.000 0.000 Sb
0.500 0.500 0.500 Sb
0.250 0.250 0.250 Pd
0.250 0.250 0.750 Pd
0.250 0.750 0.250 Pd
0.250 0.750 0.750 Pd
0.750 0.250 0.250 Pd
0.750 0.250 0.750 Pd
0.750 0.750 0.250 Pd
0.750 0.750 0.750 Pd
```

Largest 8 diffraction maxima, in order of falling intensity, 2θ = 15–90°:
2θ/deg  I (rel.)
36.7  100
66.1  35
52.9  17
89.6  16
78.1  11
25.7  1
22.2  1
59.8  1

***

Record 2
Starting from a PBE-relaxed structure, the powder X-ray diffraction pattern of Pm2SnPd was calculated for Cu Kα (weighted mean of Kα1 and Kα2).

Atomic structure:
```
Pm2SnPd
1.0
7.496 0.000 0.000
0.000 7.496 0.000
0.000 0.000 7.496
Pm Sn Pd
8 4 4
Direct
0.250 0.250 0.250 Pm
0.250 0.250 0.750 Pm
0.250 0.750 0.250 Pm
0.250 0.750 0.750 Pm
0.750 0.250 0.250 Pm
0.750 0.250 0.750 Pm
0.750 0.750 0.250 Pm
0.750 0.750 0.750 Pm
0.000 0.000 0.000 Sn
0.000 0.500 0.500 Sn
0.500 0.000 0.500 Sn
0.500 0.500 0.000 Sn
0.000 0.000 0.500 Pd
0.000 0.500 0.000 Pd
0.500 0.000 0.000 Pd
0.500 0.500 0.500 Pd
```

Largest 8 diffraction maxima, in order of falling intensity, 2θ = 15–90°:
2θ/deg  I (rel.)
33.8  100
60.5  38
48.6  18
81.1  16
71.1  12
23.7  2
54.8  1
41.7  1

***

Record 3
Starting from a PBE-relaxed structure, the powder X-ray diffraction pattern of PmSnPd2 was calculated for Cu Kα (weighted mean of Kα1 and Kα2).

Atomic structure:
```
PmSnPd2
1.0
6.916 0.000 0.000
0.000 6.916 0.000
0.000 0.000 6.916
Pm Sn Pd
4 4 8
Direct
0.000 0.000 0.000 Pm
0.000 0.500 0.500 Pm
0.500 0.000 0.500 Pm
0.500 0.500 0.000 Pm
0.000 0.000 0.500 Sn
0.000 0.500 0.000 Sn
0.500 0.000 0.000 Sn
0.500 0.500 0.500 Sn
0.250 0.250 0.250 Pd
0.250 0.250 0.750 Pd
0.250 0.750 0.250 Pd
0.250 0.750 0.750 Pd
0.750 0.250 0.250 Pd
0.750 0.250 0.750 Pd
0.750 0.750 0.250 Pd
0.750 0.750 0.750 Pd
```

Largest 8 diffraction maxima, in order of falling intensity, 2θ = 15–90°:
2θ/deg  I (rel.)
36.8  100
66.2  36
53.0  17
89.7  17
78.2  11
25.8  1
22.3  1
59.8  1

***

Record 4
Starting from a PBE-relaxed structure, the powder X-ray diffraction pattern of PrPd5 was calculated for Cu Kα (weighted mean of Kα1 and Kα2).

Atomic structure:
```
PrPd5
1.0
5.105 0.000 0.000
-2.552 4.421 0.000
0.000 0.000 9.431
Pr Pd
2 10
Direct
0.333 0.667 0.250 Pr
0.667 0.333 0.750 Pr
0.000 0.000 0.250 Pd
0.000 0.000 0.750 Pd
0.000 0.321 0.500 Pd
0.000 0.678 0.000 Pd
0.321 0.000 0.500 Pd
0.322 0.322 0.000 Pd
0.333 0.667 0.750 Pd
0.667 0.333 0.250 Pd
0.678 0.000 0.000 Pd
0.679 0.679 0.500 Pd
```

Largest 8 diffraction maxima, in order of falling intensity, 2θ = 15–90°:
2θ/deg  I (rel.)
40.2  100
36.5  38
38.2  33
76.2  25
63.1  22
45.8  20
70.3  19
77.5  14

***

Record 5
Starting from a PBE-relaxed structure, the powder X-ray diffraction pattern of Pr7Pd3 was calculated for Cu Kα (weighted mean of Kα1 and Kα2).

Atomic structure:
```
Pr7Pd3
1.0
5.131 -8.946 0.000
5.131 8.946 0.000
0.000 0.000 6.545
Pr Pd
14 6
Direct
0.038 0.577 0.499 Pr
0.038 0.962 0.500 Pr
0.167 0.833 0.993 Pr
0.247 0.374 0.700 Pr
0.374 0.247 0.200 Pr
0.374 0.626 0.201 Pr
0.423 0.962 0.499 Pr
0.577 0.038 0.999 Pr
0.626 0.374 0.701 Pr
0.626 0.753 0.700 Pr
0.753 0.626 0.200 Pr
0.833 0.167 0.493 Pr
0.962 0.038 0.000 Pr
0.962 0.423 0.999 Pr
0.122 0.311 0.254 Pd
0.311 0.122 0.754 Pd
0.311 0.689 0.754 Pd
0.689 0.311 0.254 Pd
0.689 0.878 0.254 Pd
0.878 0.689 0.754 Pd
```

Largest 8 diffraction maxima, in order of falling intensity, 2θ = 15–90°:
2θ/deg  I (rel.)
29.8  100
34.0  83
29.1  70
33.1  60
29.9  59
34.8  48
53.3  41
52.0  41

***

Record 6
Starting from a PBE-relaxed structure, the powder X-ray diffraction pattern of PrPd3 was calculated for Cu Kα (weighted mean of Kα1 and Kα2).

Atomic structure:
```
PrPd3
1.0
4.228 0.000 0.000
0.000 4.228 0.000
0.000 0.000 4.228
Pr Pd
1 3
Direct
0.000 0.000 0.000 Pr
0.000 0.500 0.500 Pd
0.500 0.000 0.500 Pd
0.500 0.500 0.000 Pd
```

Largest 8 diffraction maxima, in order of falling intensity, 2θ = 15–90°:
2θ/deg  I (rel.)
36.8  100
42.8  49
74.4  37
62.1  32
78.4  11
21.0  2
29.9  1
48.1  1